(1)
The following is a theoretical X-ray diffraction stick pattern of Ce6OsRu. It was derived from a DFT-relaxed cell (PBE, Alexandria), using copper Kα.
Kinematic intensities with the Lorentz-polarization factor, no thermal factor.

Principal peaks in the range 5 to 70 degrees two-theta, most intense first:
d/Å	two_theta	I/Imax
2.486	36.1	100.0
2.681	33.4	83.2
1.823	50.0	79.1
2.839	31.5	53.4
2.517	35.7	52.8
2.808	31.9	44.4
3.165	28.2	36.3
1.949	46.6	36.1
1.455	64.0	30.2
3.092	28.9	29.5

Atomic structure:
Cell: 6.4914 6.4914 6.2934 Å, 102.64 102.64 122.01°
Positions (direct):
Ce (0.0381, 0.4527, 0.2480)
Ce (0.2505, 0.2505, 0.7530)
Ce (0.4527, 0.0381, 0.2480)
Ce (0.5473, 0.9619, 0.7520)
Ce (0.7495, 0.7495, 0.2470)
Ce (0.9619, 0.5473, 0.7520)
Os (0.5000, 0.5000, 0.5000)
Ru (0.0000, 0.0000, 0.0000)

=====

(2)
The following is a theoretical X-ray diffraction stick pattern of Ce4OsRu. It was derived from a DFT-relaxed cell (PBE, Alexandria), using copper Kα.
Kinematic intensities with the Lorentz-polarization factor, no thermal factor.

Principal peaks in the range 5 to 70 degrees two-theta, most intense first:
d/Å	two_theta	I/Imax
2.340	38.5	100.0
2.762	32.4	41.8
3.527	25.3	31.9
1.500	61.9	23.4
2.090	43.3	18.7
1.667	55.1	17.9
2.175	41.5	16.9
4.229	21.0	14.9
2.037	44.5	14.3
3.333	26.7	13.5

Atomic structure:
Cell: 8.5865 7.7897 6.9271 Å, 71.11 59.13 49.76°
Positions (direct):
Ce (0.0053, 0.4704, 0.7616)
Ce (0.2384, 0.7372, 0.9947)
Ce (0.2628, 0.7616, 0.4704)
Ce (0.4704, 0.0053, 0.2628)
Ce (0.5296, 0.9947, 0.7372)
Ce (0.7372, 0.2384, 0.5296)
Ce (0.7616, 0.2628, 0.0053)
Ce (0.9947, 0.5296, 0.2384)
Os (0.1250, 0.1250, 0.1250)
Os (0.8750, 0.8750, 0.8750)
Ru (0.3750, 0.3750, 0.3750)
Ru (0.6250, 0.6250, 0.6250)

=====

(3)
The following is a theoretical X-ray diffraction stick pattern of Ce8Sb2Os. It was derived from a DFT-relaxed cell (PBE, Alexandria), using copper Kα.
Kinematic intensities with the Lorentz-polarization factor, no thermal factor.

Principal peaks in the range 5 to 70 degrees two-theta, most intense first:
d/Å	two_theta	I/Imax
2.755	32.5	100.0
2.869	31.2	60.7
2.720	32.9	60.1
2.428	37.0	57.2
2.569	34.9	38.9
3.086	28.9	36.7
2.274	39.6	25.6
2.782	32.2	25.2
2.388	37.7	24.9
2.055	44.1	23.4

Atomic structure:
Cell: 9.2021 9.2021 6.4858 Å, 106.13 106.13 34.84°
Positions (direct):
Ce (0.0027, 0.0027, 0.2826)
Ce (0.2286, 0.2286, 0.6415)
Ce (0.3630, 0.3630, 0.1728)
Ce (0.3973, 0.3973, 0.7539)
Ce (0.6027, 0.6027, 0.2461)
Ce (0.6370, 0.6370, 0.8272)
Ce (0.7714, 0.7714, 0.3585)
Ce (0.9973, 0.9973, 0.7174)
Sb (0.1714, 0.1714, 0.1115)
Sb (0.8286, 0.8286, 0.8885)
Os (0.5000, 0.5000, 0.5000)

=====

(4)
The following is a theoretical X-ray diffraction stick pattern of Ce3SbOs. It was derived from a DFT-relaxed cell (PBE, Alexandria), using copper Kα.
Kinematic intensities with the Lorentz-polarization factor, no thermal factor.

Principal peaks in the range 5 to 70 degrees two-theta, most intense first:
d/Å	two_theta	I/Imax
2.941	30.4	100.0
6.904	12.8	46.1
2.177	41.5	38.0
2.445	36.8	35.8
2.369	38.0	35.2
2.955	30.2	28.9
2.796	32.0	23.3
3.025	29.5	16.2
2.227	40.5	16.0
2.823	31.7	15.8

Atomic structure:
Cell: 7.9955 4.3546 8.4853 Å, 90.00 114.17 90.00°
Positions (direct):
Ce (0.0220, 0.2500, 0.2464)
Ce (0.3506, 0.7500, 0.5925)
Ce (0.3683, 0.2500, 0.9306)
Ce (0.6317, 0.7500, 0.0694)
Ce (0.6494, 0.2500, 0.4075)
Ce (0.9780, 0.7500, 0.7536)
Sb (0.2957, 0.7500, 0.1858)
Sb (0.7043, 0.2500, 0.8142)
Os (0.1144, 0.2500, 0.6105)
Os (0.8856, 0.7500, 0.3895)

=====

(5)
The following is a theoretical X-ray diffraction stick pattern of Ce3Sc2Os3. It was derived from a DFT-relaxed cell (PBE, Alexandria), using copper Kα.
Kinematic intensities with the Lorentz-polarization factor, no thermal factor.

Principal peaks in the range 5 to 70 degrees two-theta, most intense first:
d/Å	two_theta	I/Imax
2.676	33.5	100.0
2.454	36.6	83.5
2.817	31.8	51.8
3.816	23.3	42.0
2.022	44.8	38.2
4.631	19.2	28.7
2.637	34.0	26.5
3.162	28.2	26.4
1.965	46.2	24.2
1.899	47.9	22.3

Atomic structure:
Cell: 6.2277 6.2277 14.9900 Å, 90.00 90.00 142.11°
Positions (direct):
Ce (0.0410, 0.9590, 0.6284)
Ce (0.0410, 0.9590, 0.8716)
Ce (0.3218, 0.6782, 0.7500)
Ce (0.6782, 0.3218, 0.2500)
Ce (0.9590, 0.0410, 0.1284)
Ce (0.9590, 0.0410, 0.3716)
Sc (0.2393, 0.7607, 0.0761)
Sc (0.2393, 0.7607, 0.4239)
Sc (0.7607, 0.2393, 0.5761)
Sc (0.7607, 0.2393, 0.9239)
Os (0.3434, 0.6566, 0.2500)
Os (0.4101, 0.5899, 0.5534)
Os (0.4101, 0.5899, 0.9466)
Os (0.5899, 0.4101, 0.0534)
Os (0.5899, 0.4101, 0.4466)
Os (0.6566, 0.3434, 0.7500)

=====

(6)
The following is a theoretical X-ray diffraction stick pattern of CeOsSe. It was derived from a DFT-relaxed cell (PBE, Alexandria), using copper Kα.
Kinematic intensities with the Lorentz-polarization factor, no thermal factor.

Principal peaks in the range 5 to 70 degrees two-theta, most intense first:
d/Å	two_theta	I/Imax
2.570	34.9	100.0
8.293	10.7	81.3
2.860	31.3	74.6
2.302	39.1	63.4
1.522	60.9	34.9
3.271	27.3	29.5
2.079	43.5	28.7
2.029	44.7	26.7
1.616	57.0	24.2
3.941	22.6	23.2

Atomic structure:
Cell: 8.5379 8.5379 4.1577 Å, 90.00 90.00 152.51°
Positions (direct):
Ce (0.1170, 0.8830, 0.7500)
Ce (0.8830, 0.1170, 0.2500)
Os (0.4652, 0.5348, 0.7500)
Os (0.5348, 0.4652, 0.2500)
Se (0.3140, 0.6860, 0.7500)
Se (0.6860, 0.3140, 0.2500)

=====

(7)
The following is a theoretical X-ray diffraction stick pattern of Ce4OsSe3. It was derived from a DFT-relaxed cell (PBE, Alexandria), using copper Kα.
Kinematic intensities with the Lorentz-polarization factor, no thermal factor.

Principal peaks in the range 5 to 70 degrees two-theta, most intense first:
d/Å	two_theta	I/Imax
2.959	30.2	100.0
2.093	43.2	48.6
6.926	12.8	13.7
1.732	52.9	12.7
2.135	42.3	12.6
1.686	54.4	12.6
2.052	44.1	12.0
1.480	62.8	11.5
1.345	70.0	5.2
2.295	39.3	3.7

Atomic structure:
Cell: 7.2985 7.2985 4.1047 Å, 90.00 90.00 108.38°
Positions (direct):
Ce (0.2300, 0.2300, 0.5000)
Ce (0.2372, 0.7628, 0.0000)
Ce (0.7628, 0.2372, 0.0000)
Ce (0.7700, 0.7700, 0.5000)
Os (0.0000, 0.0000, 0.0000)
Se (0.0000, 0.5000, 0.5000)
Se (0.5000, 0.0000, 0.5000)
Se (0.5000, 0.5000, 0.0000)

=====

(8)
The following is a theoretical X-ray diffraction stick pattern of Ce3Si4Os2. It was derived from a DFT-relaxed cell (PBE, Alexandria), using copper Kα.
Kinematic intensities with the Lorentz-polarization factor, no thermal factor.

Principal peaks in the range 5 to 70 degrees two-theta, most intense first:
d/Å	two_theta	I/Imax
2.672	33.5	100.0
2.914	30.7	72.9
2.562	35.0	71.1
3.298	27.0	62.3
2.602	34.5	58.4
2.145	42.1	58.0
7.687	11.5	57.4
2.085	43.4	54.0
5.209	17.0	45.2
2.344	38.4	44.9

Atomic structure:
Cell: 5.9203 5.9203 8.1564 Å, 108.24 108.24 41.23°
Positions (direct):
Ce (0.0000, 0.0000, 0.0000)
Ce (0.3886, 0.3886, 0.3116)
Ce (0.6114, 0.6114, 0.6884)
Si (0.1052, 0.1052, 0.3964)
Si (0.2803, 0.2803, 0.9267)
Si (0.7197, 0.7197, 0.0733)
Si (0.8948, 0.8948, 0.6036)
Os (0.3050, 0.3050, 0.6452)
Os (0.6950, 0.6950, 0.3548)

=====

(9)
The following is a theoretical X-ray diffraction stick pattern of Ce7Si5Os. It was derived from a DFT-relaxed cell (PBE, Alexandria), using copper Kα.
Kinematic intensities with the Lorentz-polarization factor, no thermal factor.

Principal peaks in the range 5 to 70 degrees two-theta, most intense first:
d/Å	two_theta	I/Imax
7.222	12.3	100.0
3.043	29.4	81.6
3.064	29.1	72.9
3.608	24.7	53.8
2.327	38.7	52.7
2.887	31.0	50.4
2.229	40.5	40.3
2.601	34.5	35.3
1.918	47.4	33.9
1.956	46.4	33.2

Atomic structure:
Cell: 7.8577 7.8577 7.8577 Å, 134.44 94.79 102.50°
Positions (direct):
Ce (0.0000, 0.0000, 0.0000)
Ce (0.0155, 0.7368, 0.2787)
Ce (0.4581, 0.7368, 0.7213)
Ce (0.4652, 0.4652, 0.0000)
Ce (0.4994, 0.1641, 0.3352)
Ce (0.8289, 0.1641, 0.6648)
Ce (0.8779, 0.3779, 0.5000)
Si (0.1978, 0.2618, 0.5389)
Si (0.1978, 0.6589, 0.9360)
Si (0.4171, 0.9171, 0.5000)
Si (0.7229, 0.2618, 0.0640)
Si (0.7229, 0.6589, 0.4611)
Os (0.7384, 0.7384, 0.0000)

=====

(10)
The following is a theoretical X-ray diffraction stick pattern of CeSi2Os4. It was derived from a DFT-relaxed cell (PBE, Alexandria), using copper Kα.
Kinematic intensities with the Lorentz-polarization factor, no thermal factor.

Principal peaks in the range 5 to 70 degrees two-theta, most intense first:
d/Å	two_theta	I/Imax
2.427	37.0	100.0
7.078	12.5	62.2
2.002	45.3	30.5
2.007	45.2	18.7
1.996	45.4	18.4
1.415	66.0	15.7
2.359	38.1	12.3
1.645	55.9	6.8
1.529	60.6	6.5
1.524	60.8	6.5

Atomic structure:
Cell: 7.3570 7.3570 3.9915 Å, 90.00 90.00 148.33°
Positions (direct):
Ce (0.0000, 0.0000, 0.0000)
Si (0.4150, 0.5850, 0.5000)
Si (0.5850, 0.4150, 0.5000)
Os (0.1865, 0.8135, 0.5000)
Os (0.3109, 0.6891, 0.0000)
Os (0.6891, 0.3109, 0.0000)
Os (0.8135, 0.1865, 0.5000)

=====

(11)
The following is a theoretical X-ray diffraction stick pattern of Ce2Si4Os5. It was derived from a DFT-relaxed cell (PBE, Alexandria), using copper Kα.
Kinematic intensities with the Lorentz-polarization factor, no thermal factor.

Principal peaks in the range 5 to 70 degrees two-theta, most intense first:
d/Å	two_theta	I/Imax
2.543	35.3	100.0
2.719	32.9	56.2
2.531	35.5	44.2
2.173	41.6	41.2
1.997	45.4	33.8
1.361	69.0	29.1
3.283	27.2	28.4
2.419	37.2	27.0
1.464	63.6	22.2
1.649	55.8	22.0

Atomic structure:
Cell: 8.1958 7.0853 5.8546 Å, 77.96 57.72 44.32°
Positions (direct):
Ce (0.1227, 0.1227, 0.8773)
Ce (0.8773, 0.8773, 0.1227)
Si (0.2162, 0.5125, 0.4875)
Si (0.4875, 0.7838, 0.2162)
Si (0.5125, 0.2162, 0.7838)
Si (0.7838, 0.4875, 0.5125)
Os (0.0000, 0.0000, 0.5000)
Os (0.2500, 0.2500, 0.2500)
Os (0.5000, 0.5000, 0.0000)
Os (0.5000, 0.5000, 0.5000)
Os (0.7500, 0.7500, 0.7500)

=====

(12)
The following is a theoretical X-ray diffraction stick pattern of Ce5Si3Os. It was derived from a DFT-relaxed cell (PBE, Alexandria), using copper Kα.
Kinematic intensities with the Lorentz-polarization factor, no thermal factor.

Principal peaks in the range 5 to 70 degrees two-theta, most intense first:
d/Å	two_theta	I/Imax
3.076	29.0	100.0
2.988	29.9	66.0
2.512	35.7	55.4
3.306	27.0	24.2
2.321	38.8	19.3
1.457	63.9	16.9
4.020	22.1	16.7
2.536	35.4	15.7
4.511	19.7	14.6
2.064	43.9	13.5

Atomic structure:
Cell: 8.3115 8.3115 7.8600 Å, 111.68 111.68 74.42°
Positions (direct):
Ce (0.0502, 0.0502, 0.7311)
Ce (0.1098, 0.5372, 0.3760)
Ce (0.2218, 0.7782, 0.0000)
Ce (0.2771, 0.2771, 0.9715)
Ce (0.4628, 0.8902, 0.6240)
Ce (0.5372, 0.1098, 0.3760)
Ce (0.7229, 0.7229, 0.0285)
Ce (0.7782, 0.2218, 0.0000)
Ce (0.8902, 0.4628, 0.6240)
Ce (0.9498, 0.9498, 0.2689)
Si (0.1512, 0.1512, 0.1827)
Si (0.2003, 0.2003, 0.5351)
Si (0.5000, 0.5000, 0.0000)
Si (0.5000, 0.5000, 0.5000)
Si (0.7997, 0.7997, 0.4649)
Si (0.8488, 0.8488, 0.8173)
Os (0.4019, 0.4019, 0.6758)
Os (0.5981, 0.5981, 0.3242)

=====

(13)
The following is a theoretical X-ray diffraction stick pattern of Ce2Si3Os2. It was derived from a DFT-relaxed cell (PBE, Alexandria), using copper Kα.
Kinematic intensities with the Lorentz-polarization factor, no thermal factor.

Principal peaks in the range 5 to 70 degrees two-theta, most intense first:
d/Å	two_theta	I/Imax
3.726	23.9	100.0
2.388	37.7	90.8
3.065	29.1	70.6
2.454	36.6	68.6
2.178	41.5	60.5
2.037	44.5	49.7
2.306	39.1	44.8
2.462	36.5	44.3
2.616	34.3	33.1
1.696	54.1	25.8

Atomic structure:
Cell: 5.5732 5.5732 6.8946 Å, 115.23 115.23 42.87°
Positions (direct):
Ce (0.1422, 0.1422, 0.2609)
Ce (0.8578, 0.8578, 0.7391)
Si (0.3594, 0.3594, 0.0684)
Si (0.5000, 0.5000, 0.5000)
Si (0.6406, 0.6406, 0.9316)
Os (0.1305, 0.1305, 0.7135)
Os (0.8695, 0.8695, 0.2865)

=====

(14)
The following is a theoretical X-ray diffraction stick pattern of Ce2Si6Os. It was derived from a DFT-relaxed cell (PBE, Alexandria), using copper Kα.
Kinematic intensities with the Lorentz-polarization factor, no thermal factor.

Principal peaks in the range 5 to 70 degrees two-theta, most intense first:
d/Å	two_theta	I/Imax
2.912	30.7	100.0
2.269	39.7	87.6
3.623	24.6	86.6
2.541	35.3	85.4
2.313	38.9	78.2
5.207	17.0	40.6
1.811	50.4	34.6
1.538	60.2	34.3
1.790	51.0	28.3
1.456	63.9	27.6

Atomic structure:
Cell: 5.8234 5.8234 5.2069 Å, 90.00 90.00 120.00°
Positions (direct):
Ce (0.3333, 0.6667, 0.1822)
Ce (0.6667, 0.3333, 0.8178)
Si (0.1814, 0.3627, 0.6816)
Si (0.1814, 0.8186, 0.6816)
Si (0.3627, 0.1814, 0.3184)
Si (0.6373, 0.8186, 0.6816)
Si (0.8186, 0.1814, 0.3184)
Si (0.8186, 0.6373, 0.3184)
Os (0.0000, 0.0000, 0.0000)